1.
Diffraction record for LiTbAu4. The powder X-ray diffraction pattern is computed, not measured: it uses a structure optimized by DFT (GGA-PBE) and Cu Kα (λ = 1.5418 Å).

Cell and atoms:
```
LiTbAu4
1.0
2.5919 -4.4572 0.0000
2.5919 4.4572 0.0000
0.0000 0.0000 5.1249
Li Tb Au
1 1 4
Direct
0.0000 0.0000 0.0000
0.5000 0.5000 0.5000
0.1623 0.8377 0.5000
0.3289 0.6711 0.0000
0.6711 0.3289 0.0000
0.8377 0.1623 0.5000
```

Peak list (12 most intense, 10 to 90 degrees two-theta, sorted by position)
| 2theta | d (Å) | intensity |
| --- | --- | --- |
| 19.92 | 4.457 | 78 |
| 26.44 | 3.371 | 219 |
| 34.61 | 2.592 | 350 |
| 35.02 | 2.562 | 339 |
| 39.11 | 2.303 | 1000 |
| 50.06 | 1.822 | 250 |
| 65.04 | 1.434 | 228 |
| 65.55 | 1.424 | 223 |
| 73.47 | 1.289 | 79 |
| 73.71 | 1.285 | 79 |
| 84.06 | 1.151 | 115 |
| 86.56 | 1.124 | 110 |



2.
Diffraction record for Li7Tb3Au4. The powder X-ray diffraction pattern is computed, not measured: it uses a structure optimized by DFT (GGA-PBE) and Cu Kα (λ = 1.5418 Å).

Cell and atoms:
```
Li7Tb3Au4
1.0
7.8551 -2.0850 0.0000
7.8551 2.0850 0.0000
-5.9134 0.0000 8.5688
Li Tb Au
7 3 4
Direct
0.0000 0.0000 0.0000
0.1673 0.1673 0.9336
0.3254 0.3254 0.4956
0.4797 0.4797 0.1827
0.5203 0.5203 0.8173
0.6746 0.6746 0.5044
0.8327 0.8327 0.0664
0.0000 0.0000 0.5000
0.2973 0.2973 0.7737
0.7027 0.7027 0.2263
0.1047 0.1047 0.3160
0.3460 0.3460 0.2533
0.6540 0.6540 0.7467
0.8953 0.8953 0.6840
```

Peak list (12 most intense, 10 to 90 degrees two-theta, sorted by position)
| 2theta | d (Å) | intensity |
| --- | --- | --- |
| 10.32 | 8.569 | 533 |
| 20.73 | 4.284 | 1000 |
| 26.34 | 3.383 | 506 |
| 27.37 | 3.258 | 482 |
| 27.54 | 3.238 | 402 |
| 28.83 | 3.096 | 443 |
| 29.81 | 2.997 | 526 |
| 33.73 | 2.657 | 582 |
| 35.42 | 2.534 | 431 |
| 35.80 | 2.508 | 586 |
| 41.01 | 2.201 | 816 |
| 43.40 | 2.085 | 411 |



3.
Diffraction record for Li4TcAu. The powder X-ray diffraction pattern is computed, not measured: it uses a structure optimized by DFT (GGA-PBE) and Cu Kα (λ = 1.5418 Å).

Cell and atoms:
```
Li4TcAu
1.0
0.0000 3.4738 3.4738
3.4738 0.0000 3.4738
3.4738 3.4738 0.0000
Li Tc Au
4 1 1
Direct
0.1250 0.1250 0.1250
0.1250 0.1250 0.6250
0.1250 0.6250 0.1250
0.6250 0.1250 0.1250
0.7500 0.7500 0.7500
0.5000 0.5000 0.5000
```

Peak list (12 most intense, 10 to 90 degrees two-theta, sorted by position)
| 2theta | d (Å) | intensity |
| --- | --- | --- |
| 22.16 | 4.011 | 1000 |
| 25.64 | 3.474 | 106 |
| 36.58 | 2.456 | 843 |
| 43.19 | 2.095 | 641 |
| 52.70 | 1.737 | 128 |
| 57.85 | 1.594 | 228 |
| 59.50 | 1.554 | 47 |
| 65.86 | 1.418 | 303 |
| 70.42 | 1.337 | 202 |
| 77.76 | 1.228 | 108 |
| 82.06 | 1.174 | 174 |
| 89.14 | 1.098 | 142 |



4.
Diffraction record for LiTeAu. The powder X-ray diffraction pattern is computed, not measured: it uses a structure optimized by DFT (GGA-PBE) and Cu Kα (λ = 1.5418 Å).

Cell and atoms:
```
LiTeAu
1.0
4.6283 0.0000 0.0000
-2.3141 4.0082 0.0000
0.0000 0.0000 4.5488
Li Te Au
1 1 1
Direct
0.0000 0.0000 0.0000
0.6667 0.3333 0.6849
0.3333 0.6667 0.7899
```

Peak list (12 most intense, 10 to 90 degrees two-theta, sorted by position)
| 2theta | d (Å) | intensity |
| --- | --- | --- |
| 19.51 | 4.549 | 1000 |
| 22.18 | 4.008 | 667 |
| 29.71 | 3.007 | 816 |
| 38.92 | 2.314 | 606 |
| 43.90 | 2.063 | 755 |
| 45.87 | 1.978 | 356 |
| 49.71 | 1.834 | 200 |
| 56.75 | 1.622 | 244 |
| 64.87 | 1.437 | 181 |
| 65.86 | 1.418 | 157 |
| 73.94 | 1.282 | 163 |
| 75.39 | 1.261 | 166 |



5.
Diffraction record for Li5Te3Au. The powder X-ray diffraction pattern is computed, not measured: it uses a structure optimized by DFT (GGA-PBE) and Cu Kα (λ = 1.5418 Å).

Cell and atoms:
```
Li5Te3Au
1.0
7.3268 -3.2778 0.0000
7.3268 3.2778 0.0000
-2.8843 0.0000 8.6992
Li Te Au
10 6 2
Direct
0.0834 0.5912 0.9273
0.1018 0.5847 0.4096
0.2488 0.7512 0.7500
0.4088 0.9166 0.5727
0.4153 0.8982 0.0904
0.5847 0.1018 0.9096
0.5912 0.0834 0.4273
0.7512 0.2488 0.2500
0.8982 0.4153 0.5904
0.9166 0.4088 0.0727
0.0000 0.0000 0.0000
0.0000 0.0000 0.5000
0.3135 0.3420 0.6615
0.3420 0.3135 0.1615
0.6580 0.6865 0.8385
0.6865 0.6580 0.3385
0.2873 0.7127 0.2500
0.7127 0.2873 0.7500
```

Peak list (12 most intense, 10 to 90 degrees two-theta, sorted by position)
| 2theta | d (Å) | intensity |
| --- | --- | --- |
| 12.73 | 6.954 | 353 |
| 16.93 | 5.238 | 340 |
| 19.21 | 4.620 | 320 |
| 20.40 | 4.352 | 266 |
| 23.09 | 3.852 | 249 |
| 23.50 | 3.785 | 616 |
| 23.69 | 3.756 | 990 |
| 38.85 | 2.318 | 271 |
| 38.97 | 2.311 | 1000 |
| 39.32 | 2.291 | 267 |
| 45.94 | 1.976 | 395 |
| 46.04 | 1.971 | 213 |



6.
Diffraction record for Li2Th2Au3. The powder X-ray diffraction pattern is computed, not measured: it uses a structure optimized by DFT (GGA-PBE) and Cu Kα (λ = 1.5418 Å).

Cell and atoms:
```
Li2Th2Au3
1.0
1.9178 -11.7856 0.0000
1.9178 11.7856 0.0000
0.0000 0.0000 3.2980
Li Th Au
2 2 3
Direct
0.2183 0.7817 0.0000
0.7817 0.2183 0.0000
0.0841 0.9159 0.0000
0.9159 0.0841 0.0000
0.3288 0.6712 0.5000
0.5000 0.5000 0.5000
0.6712 0.3288 0.5000
```

Peak list (12 most intense, 10 to 90 degrees two-theta, sorted by position)
| 2theta | d (Å) | intensity |
| --- | --- | --- |
| 30.04 | 2.975 | 664 |
| 35.52 | 2.527 | 1000 |
| 36.12 | 2.487 | 722 |
| 46.22 | 1.964 | 156 |
| 47.40 | 1.918 | 162 |
| 55.75 | 1.649 | 98 |
| 56.56 | 1.627 | 264 |
| 60.63 | 1.527 | 297 |
| 63.36 | 1.468 | 98 |
| 64.62 | 1.442 | 156 |
| 67.84 | 1.382 | 101 |
| 68.36 | 1.372 | 99 |



7.
Diffraction record for LiTh2Au4. The powder X-ray diffraction pattern is computed, not measured: it uses a structure optimized by DFT (GGA-PBE) and Cu Kα (λ = 1.5418 Å).

Cell and atoms:
```
LiTh2Au4
1.0
2.5631 1.4798 7.6016
-2.5631 1.4798 7.6016
0.0000 -2.9596 7.6016
Li Th Au
1 2 4
Direct
0.0000 0.0000 0.0000
0.2461 0.2461 0.2461
0.7539 0.7539 0.7539
0.1131 0.1131 0.1131
0.3816 0.3816 0.3816
0.6184 0.6184 0.6184
0.8869 0.8869 0.8869
```

Peak list (12 most intense, 10 to 90 degrees two-theta, sorted by position)
| 2theta | d (Å) | intensity |
| --- | --- | --- |
| 21.48 | 4.137 | 263 |
| 23.41 | 3.801 | 294 |
| 25.43 | 3.503 | 149 |
| 35.01 | 2.563 | 1000 |
| 37.49 | 2.399 | 705 |
| 42.54 | 2.125 | 379 |
| 52.23 | 1.751 | 277 |
| 60.55 | 1.529 | 130 |
| 62.79 | 1.480 | 189 |
| 64.43 | 1.446 | 298 |
| 73.96 | 1.282 | 119 |
| 86.01 | 1.130 | 141 |



8.
Diffraction record for Li2TmThAu4. The powder X-ray diffraction pattern is computed, not measured: it uses a structure optimized by DFT (GGA-PBE) and Cu Kα (λ = 1.5418 Å).

Cell and atoms:
```
Li2TmThAu4
1.0
2.3014 1.3287 9.0475
-2.3014 1.3287 9.0475
0.0000 -2.6574 9.0475
Li Tm Th Au
2 1 1 4
Direct
0.2430 0.2430 0.2430
0.7570 0.7570 0.7570
0.5000 0.5000 0.5000
0.0000 0.0000 0.0000
0.1154 0.1154 0.1154
0.3912 0.3912 0.3912
0.6088 0.6088 0.6088
0.8846 0.8846 0.8846
```

Peak list (12 most intense, 10 to 90 degrees two-theta, sorted by position)
| 2theta | d (Å) | intensity |
| --- | --- | --- |
| 23.26 | 3.825 | 674 |
| 25.92 | 3.437 | 240 |
| 34.72 | 2.584 | 1000 |
| 39.14 | 2.301 | 986 |
| 40.20 | 2.244 | 573 |
| 53.31 | 1.718 | 300 |
| 57.36 | 1.606 | 205 |
| 68.09 | 1.377 | 291 |
| 70.93 | 1.329 | 176 |
| 71.64 | 1.317 | 215 |
| 75.35 | 1.261 | 263 |
| 84.13 | 1.151 | 115 |



9.
Diffraction record for LiTi2Au6. The powder X-ray diffraction pattern is computed, not measured: it uses a structure optimized by DFT (GGA-PBE) and Cu Kα (λ = 1.5418 Å).

Cell and atoms:
```
LiTi2Au6
1.0
6.5297 -4.9193 0.0000
6.5297 4.9193 0.0000
-0.8094 0.0000 4.8373
Li Ti Au
2 4 12
Direct
0.1226 0.8774 0.7500
0.8774 0.1226 0.2500
0.2101 0.4649 0.9201
0.4649 0.2101 0.4201
0.5351 0.7899 0.5799
0.7899 0.5351 0.0799
0.0128 0.7628 0.1771
0.1047 0.3511 0.3651
0.2372 0.9872 0.3229
0.3142 0.5781 0.4783
0.3511 0.1047 0.8651
0.4219 0.6858 0.0217
0.5781 0.3142 0.9783
0.6489 0.8953 0.1349
0.6858 0.4219 0.5217
0.7628 0.0128 0.6771
0.8953 0.6489 0.6349
0.9872 0.2372 0.8229
```

Peak list (12 most intense, 10 to 90 degrees two-theta, sorted by position)
| 2theta | d (Å) | intensity |
| --- | --- | --- |
| 22.58 | 3.938 | 472 |
| 27.87 | 3.201 | 399 |
| 34.40 | 2.607 | 172 |
| 36.53 | 2.460 | 552 |
| 37.85 | 2.377 | 1000 |
| 40.51 | 2.227 | 823 |
| 42.05 | 2.149 | 136 |
| 46.26 | 1.963 | 566 |
| 56.90 | 1.618 | 114 |
| 60.34 | 1.534 | 255 |
| 68.45 | 1.371 | 173 |
| 69.57 | 1.351 | 166 |



10.
Diffraction record for Li5TiAu6. The powder X-ray diffraction pattern is computed, not measured: it uses a structure optimized by DFT (GGA-PBE) and Cu Kα (λ = 1.5418 Å).

Cell and atoms:
```
Li5TiAu6
1.0
2.2599 -6.7725 0.0000
2.2599 6.7725 0.0000
0.0000 0.0000 6.1680
Li Ti Au
5 1 6
Direct
0.0000 0.0000 0.0000
0.3297 0.6703 0.5000
0.3369 0.6631 0.0000
0.6631 0.3369 0.0000
0.6703 0.3297 0.5000
0.0000 0.0000 0.5000
0.1654 0.8346 0.2436
0.1654 0.8346 0.7564
0.5000 0.5000 0.2496
0.5000 0.5000 0.7504
0.8346 0.1654 0.2436
0.8346 0.1654 0.7564
```

Peak list (12 most intense, 10 to 90 degrees two-theta, sorted by position)
| 2theta | d (Å) | intensity |
| --- | --- | --- |
| 27.93 | 3.194 | 1000 |
| 28.95 | 3.084 | 456 |
| 39.91 | 2.259 | 505 |
| 40.66 | 2.219 | 956 |
| 50.06 | 1.822 | 416 |
| 57.72 | 1.597 | 173 |
| 65.32 | 1.429 | 191 |
| 65.85 | 1.418 | 185 |
| 67.44 | 1.389 | 171 |
| 72.99 | 1.296 | 348 |
| 74.51 | 1.274 | 163 |
| 88.04 | 1.109 | 112 |



11.
Diffraction record for Li2Ti2Au3. The powder X-ray diffraction pattern is computed, not measured: it uses a structure optimized by DFT (GGA-PBE) and Cu Kα (λ = 1.5418 Å).

Cell and atoms:
```
Li2Ti2Au3
1.0
2.1665 -9.6301 0.0000
2.1665 9.6301 0.0000
0.0000 0.0000 2.8028
Li Ti Au
2 2 3
Direct
0.0683 0.9317 0.0000
0.9317 0.0683 0.0000
0.2124 0.7876 0.0000
0.7876 0.2124 0.0000
0.3499 0.6501 0.5000
0.5000 0.5000 0.5000
0.6501 0.3499 0.5000
```

Peak list (12 most intense, 10 to 90 degrees two-theta, sorted by position)
| 2theta | d (Å) | intensity |
| --- | --- | --- |
| 21.01 | 4.227 | 1000 |
| 27.79 | 3.210 | 400 |
| 31.93 | 2.803 | 273 |
| 38.54 | 2.336 | 595 |
| 38.77 | 2.323 | 630 |
| 41.69 | 2.167 | 273 |
| 42.83 | 2.111 | 306 |
| 50.85 | 1.796 | 157 |
| 51.07 | 1.788 | 284 |
| 61.31 | 1.512 | 214 |
| 66.73 | 1.402 | 157 |
| 79.95 | 1.200 | 156 |



12.
Diffraction record for Li4Tl2Au. The powder X-ray diffraction pattern is computed, not measured: it uses a structure optimized by DFT (GGA-PBE) and Cu Kα (λ = 1.5418 Å).

Cell and atoms:
```
Li4Tl2Au
1.0
-4.1222 4.1222 4.0637
4.1222 -4.1222 4.0637
4.1222 4.1222 -4.0637
Li Tl Au
8 4 2
Direct
0.0904 0.2042 0.7442
0.0961 0.7100 0.7558
0.2900 0.0458 0.3861
0.4600 0.3461 0.2558
0.6539 0.9096 0.1139
0.6596 0.9039 0.6139
0.7958 0.5400 0.8861
0.9542 0.3404 0.2442
0.2680 0.6250 0.1430
0.3750 0.5180 0.6430
0.4820 0.1250 0.8570
0.8750 0.7320 0.3570
0.0000 0.0000 0.0000
0.7500 0.2500 0.5000
```

Peak list (12 most intense, 10 to 90 degrees two-theta, sorted by position)
| 2theta | d (Å) | intensity |
| --- | --- | --- |
| 26.55 | 3.358 | 1000 |
| 26.74 | 3.334 | 399 |
| 30.90 | 2.894 | 165 |
| 34.42 | 2.606 | 334 |
| 34.86 | 2.574 | 193 |
| 41.00 | 2.201 | 115 |
| 41.14 | 2.194 | 121 |
| 49.44 | 1.844 | 142 |
| 52.18 | 1.753 | 114 |
| 52.36 | 1.747 | 120 |
| 56.98 | 1.616 | 126 |
| 70.47 | 1.336 | 114 |



13.
Diffraction record for Li4TlAu4. The powder X-ray diffraction pattern is computed, not measured: it uses a structure optimized by DFT (GGA-PBE) and Cu Kα (λ = 1.5418 Å).

Cell and atoms:
```
Li4TlAu4
1.0
-4.3169 4.3169 2.1581
4.3169 -4.3169 2.1581
4.3169 4.3169 -2.1581
Li Tl Au
4 1 4
Direct
0.0000 0.3175 0.3175
0.0000 0.6825 0.6825
0.3175 0.0000 0.3175
0.6825 0.0000 0.6825
0.0000 0.0000 0.0000
0.3246 0.3246 0.6492
0.3246 0.6754 0.0000
0.6754 0.3246 0.0000
0.6754 0.6754 0.3508
```

Peak list (12 most intense, 10 to 90 degrees two-theta, sorted by position)
| 2theta | d (Å) | intensity |
| --- | --- | --- |
| 14.51 | 6.105 | 604 |
| 20.57 | 4.317 | 156 |
| 29.26 | 3.052 | 205 |
| 31.08 | 2.878 | 525 |
| 37.56 | 2.394 | 1000 |
| 41.86 | 2.158 | 190 |
| 44.52 | 2.035 | 383 |
| 61.72 | 1.503 | 129 |
| 62.76 | 1.481 | 252 |
| 64.79 | 1.439 | 143 |
| 73.60 | 1.287 | 182 |
| 77.37 | 1.233 | 249 |